1.
Structure and computed PXRD pattern of CdAgSF (a DFT-relaxed cell (PBE, Alexandria); copper Kα).

Structural model:
```
CdAgSF
1.0
2.2195 1.2814 9.3734
-2.2195 1.2814 9.3734
0.0000 -2.5629 9.3734
Cd Ag S F
2 2 2 2
Cartesian
0.0000 0.0000 6.0038 Cd
0.0000 0.0000 22.1164 Cd
0.0000 0.0000 10.7607 Ag
0.0000 0.0000 17.3595 Ag
0.0000 0.0000 3.2125 S
0.0000 0.0000 24.9077 S
0.0000 0.0000 8.3762 F
0.0000 0.0000 19.7440 F
```

The 10 most intense peaks (10 to 90 degrees two-theta), in order of falling intensity:
2θ/deg, intensity
40.65, 100
28.12, 79
24.00, 57
57.16, 51
32.23, 46
39.71, 39
38.41, 29
26.42, 18
50.16, 16
34.58, 16


2.
Structure and computed PXRD pattern of CdAgSeF (a DFT-relaxed cell (PBE, Alexandria); copper Kα).

Structural model:
```
CdAgSeF
1.0
2.3735 1.3703 8.7301
-2.3735 1.3703 8.7301
0.0000 -2.7407 8.7301
Cd Ag Se F
2 2 2 2
Cartesian
0.0000 0.0000 5.6278 Cd
0.0000 0.0000 20.5626 Cd
0.0000 0.0000 10.1829 Ag
0.0000 0.0000 16.0075 Ag
0.0000 0.0000 2.8526 Se
0.0000 0.0000 23.3378 Se
0.0000 0.0000 7.8897 F
0.0000 0.0000 18.3008 F
```

The 10 most intense peaks (10 to 90 degrees two-theta), in order of falling intensity:
2θ/deg, intensity
37.91, 100
40.85, 44
27.58, 27
25.59, 27
22.67, 26
20.34, 23
57.35, 21
43.40, 19
32.35, 19
68.47, 16